# Bi6RhAu
Theoretical powder diffractogram, Cu Kα, 1.54184 Å. Input: DFT lattice parameters and positions (GGA-PBE).
Intensities are scaled so that the largest is 100.

Cell and atoms:
a b c (Å): 6.749 6.749 6.749
angles (deg): 62.36 62.36 62.36
Fractional positions:
Bi1 0.050 0.728 0.473
Bi2 0.272 0.527 0.950
Bi3 0.473 0.050 0.728
Bi4 0.527 0.950 0.272
Bi5 0.728 0.473 0.050
Bi6 0.950 0.272 0.527
Rh1 0.500 0.500 0.500
Au1 0.000 0.000 0.000

Top 8 peaks for 10 to 90 degrees two-theta, by intensity:
d (Å)  2theta  I/Imax
2.935  30.45  100
2.139  42.25  32
2.017  44.93  27
3.370  26.45  20
2.835  31.55  19
1.602  57.51  17
2.265  39.80  13
2.705  33.12  12


# Bi3AuS6
Theoretical powder diffractogram, Cu Kα, 1.54184 Å. Input: DFT lattice parameters and positions (GGA-PBE).
Intensities are scaled so that the largest is 100.

Cell and atoms:
a b c (Å): 8.756 8.756 6.722
angles (deg): 90.00 90.00 100.41
Fractional positions:
Bi1 0.098 0.902 0.500
Bi2 0.180 0.429 0.432
Bi3 0.429 0.180 0.932
Bi4 0.571 0.820 0.432
Bi5 0.820 0.571 0.932
Bi6 0.902 0.098 0.000
Au1 0.368 0.632 0.933
Au2 0.632 0.368 0.433
S1 0.103 0.602 0.740
S2 0.131 0.184 0.710
S3 0.184 0.131 0.210
S4 0.279 0.721 0.247
S5 0.398 0.897 0.740
S6 0.474 0.526 0.632
S7 0.526 0.474 0.132
S8 0.602 0.103 0.240
S9 0.721 0.279 0.747
S10 0.816 0.869 0.710
S11 0.869 0.816 0.210
S12 0.897 0.398 0.240

Top 8 peaks for 10 to 90 degrees two-theta, by intensity:
d (Å)  2theta  I/Imax
3.626  24.55  100
1.988  45.63  33
3.362  26.51  30
2.378  37.84  26
2.153  41.97  12
2.077  43.58  10
3.174  28.12  10
2.457  36.58  9


# BiSb2Au3
Theoretical powder diffractogram, Cu Kα, 1.54184 Å. Input: DFT lattice parameters and positions (GGA-PBE).
Intensities are scaled so that the largest is 100.

Cell and atoms:
a b c (Å): 6.899 6.899 6.156
angles (deg): 90.00 90.00 99.21
Fractional positions:
Bi1 0.250 0.750 0.750
Bi2 0.750 0.250 0.250
Sb1 0.225 0.225 0.000
Sb2 0.225 0.225 0.500
Sb3 0.775 0.775 0.000
Sb4 0.775 0.775 0.500
Au1 0.073 0.611 0.250
Au2 0.389 0.927 0.250
Au3 0.468 0.532 0.250
Au4 0.532 0.468 0.750
Au5 0.611 0.073 0.750
Au6 0.927 0.389 0.750

Top 8 peaks for 10 to 90 degrees two-theta, by intensity:
d (Å)  2theta  I/Imax
2.599  34.50  100
2.130  42.44  88
2.627  34.13  73
2.656  33.75  73
1.522  60.85  45
3.078  29.01  39
2.535  35.41  34
2.283  39.47  29


# BiSbAu2
Theoretical powder diffractogram, Cu Kα, 1.54184 Å. Input: DFT lattice parameters and positions (GGA-PBE).
Intensities are scaled so that the largest is 100.

Cell and atoms:
a b c (Å): 6.655 6.655 6.655
angles (deg): 38.52 38.52 38.52
Fractional positions:
Bi1 0.000 0.000 0.000
Sb1 0.173 0.173 0.173
Au1 0.580 0.580 0.580
Au2 0.757 0.757 0.757

Top 8 peaks for 10 to 90 degrees two-theta, by intensity:
d (Å)  2theta  I/Imax
2.649  33.84  100
2.196  41.11  77
2.167  41.68  38
3.516  25.33  33
2.935  30.46  28
1.690  54.27  26
3.725  23.89  26
1.339  70.28  25


# SiBi2SbAu6
Theoretical powder diffractogram, Cu Kα, 1.54184 Å. Input: DFT lattice parameters and positions (GGA-PBE).
Intensities are scaled so that the largest is 100.

Cell and atoms:
a b c (Å): 5.814 8.690 9.362
angles (deg): 90.00 90.00 90.00
Fractional positions:
Si1 0.250 0.250 0.244
Si2 0.750 0.750 0.756
Bi1 0.250 0.004 0.755
Bi2 0.250 0.496 0.755
Bi3 0.750 0.504 0.245
Bi4 0.750 0.996 0.245
Sb1 0.250 0.750 0.301
Sb2 0.750 0.250 0.699
Au1 0.002 0.750 0.552
Au2 0.011 0.750 0.976
Au3 0.250 0.506 0.121
Au4 0.250 0.994 0.121
Au5 0.489 0.750 0.976
Au6 0.498 0.750 0.552
Au7 0.502 0.250 0.448
Au8 0.511 0.250 0.024
Au9 0.750 0.006 0.879
Au10 0.750 0.494 0.879
Au11 0.989 0.250 0.024
Au12 0.998 0.250 0.448

Top 8 peaks for 10 to 90 degrees two-theta, by intensity:
d (Å)  2theta  I/Imax
2.416  37.21  100
3.185  28.02  91
2.469  36.38  74
2.323  38.76  58
2.173  41.57  55
1.631  56.41  42
2.793  32.05  28
2.750  32.57  24


# Sn2BiSb2Au7
Theoretical powder diffractogram, Cu Kα, 1.54184 Å. Input: DFT lattice parameters and positions (GGA-PBE).
Intensities are scaled so that the largest is 100.

Cell and atoms:
a b c (Å): 4.217 4.217 16.837
angles (deg): 96.51 96.51 89.98
Fractional positions:
Sn1 0.121 0.121 0.250
Sn2 0.879 0.879 0.750
Bi1 0.500 0.500 0.000
Sb1 0.289 0.289 0.576
Sb2 0.711 0.711 0.424
Au1 0.000 0.000 0.000
Au2 0.068 0.571 0.141
Au3 0.205 0.205 0.412
Au4 0.429 0.932 0.859
Au5 0.571 0.068 0.141
Au6 0.795 0.795 0.588
Au7 0.932 0.429 0.859

Top 8 peaks for 10 to 90 degrees two-theta, by intensity:
d (Å)  2theta  I/Imax
2.108  42.90  100
2.625  34.15  53
2.374  37.90  48
2.422  37.12  39
2.219  40.65  37
2.937  30.43  36
1.491  62.28  34
8.310  10.65  32


# Bi2Au2Se
Theoretical powder diffractogram, Cu Kα, 1.54184 Å. Input: DFT lattice parameters and positions (GGA-PBE).
Intensities are scaled so that the largest is 100.

Cell and atoms:
a b c (Å): 8.209 8.209 3.848
angles (deg): 90.00 90.00 90.00
Fractional positions:
Bi1 0.194 0.306 0.000
Bi2 0.306 0.806 0.000
Bi3 0.694 0.194 0.000
Bi4 0.806 0.694 0.000
Au1 0.119 0.619 0.500
Au2 0.381 0.119 0.500
Au3 0.619 0.881 0.500
Au4 0.881 0.381 0.500
Se1 0.000 0.000 0.000
Se2 0.500 0.500 0.000

Top 8 peaks for 10 to 90 degrees two-theta, by intensity:
d (Å)  2theta  I/Imax
2.656  33.75  100
2.596  34.55  26
2.277  39.58  24
5.805  15.26  20
3.207  27.82  18
1.322  71.34  18
1.811  50.40  17
2.807  31.88  15


# Tl2BiAuSe
Theoretical powder diffractogram, Cu Kα, 1.54184 Å. Input: DFT lattice parameters and positions (GGA-PBE).
Intensities are scaled so that the largest is 100.

Cell and atoms:
a b c (Å): 4.303 4.303 16.393
angles (deg): 90.00 90.00 90.00
Fractional positions:
Tl1 0.250 0.250 0.081
Tl2 0.250 0.250 0.711
Tl3 0.750 0.750 0.289
Tl4 0.750 0.750 0.919
Bi1 0.250 0.250 0.376
Bi2 0.750 0.750 0.624
Au1 0.250 0.750 0.500
Au2 0.750 0.250 0.500
Se1 0.250 0.250 0.894
Se2 0.750 0.750 0.106

Top 8 peaks for 10 to 90 degrees two-theta, by intensity:
d (Å)  2theta  I/Imax
3.380  26.36  100
2.151  42.00  64
2.658  33.72  60
3.042  29.36  51
2.443  36.79  48
2.306  39.05  47
1.815  50.27  36
2.033  44.57  32


# TlBiAuSe2
Theoretical powder diffractogram, Cu Kα, 1.54184 Å. Input: DFT lattice parameters and positions (GGA-PBE).
Intensities are scaled so that the largest is 100.

Cell and atoms:
a b c (Å): 7.399 4.850 8.644
angles (deg): 90.00 99.13 90.00
Fractional positions:
Tl1 0.000 0.130 0.250
Tl2 0.000 0.870 0.750
Bi1 0.500 0.446 0.750
Bi2 0.500 0.554 0.250
Au1 0.500 0.000 0.000
Au2 0.500 0.000 0.500
Se1 0.237 0.327 0.972
Se2 0.237 0.673 0.472
Se3 0.763 0.327 0.528
Se4 0.763 0.673 0.028

Top 8 peaks for 10 to 90 degrees two-theta, by intensity:
d (Å)  2theta  I/Imax
3.072  29.07  100
2.813  31.81  96
3.534  25.20  69
3.653  24.37  58
7.305  12.12  51
2.134  42.36  37
2.061  43.94  37
1.511  61.33  33


# SiBiAu4
Theoretical powder diffractogram, Cu Kα, 1.54184 Å. Input: DFT lattice parameters and positions (GGA-PBE).
Intensities are scaled so that the largest is 100.

Cell and atoms:
a b c (Å): 7.275 7.275 6.192
angles (deg): 90.13 90.13 50.36
Fractional positions:
Si1 0.037 0.037 0.220
Si2 0.963 0.963 0.780
Bi1 0.300 0.300 0.684
Bi2 0.700 0.700 0.316
Au1 0.164 0.630 0.095
Au2 0.224 0.224 0.219
Au3 0.278 0.722 0.500
Au4 0.370 0.836 0.905
Au5 0.630 0.164 0.095
Au6 0.722 0.278 0.500
Au7 0.776 0.776 0.781
Au8 0.836 0.370 0.905

Top 8 peaks for 10 to 90 degrees two-theta, by intensity:
d (Å)  2theta  I/Imax
2.800  31.96  100
2.910  30.73  51
2.553  35.15  34
2.189  41.24  29
2.118  42.69  28
2.067  43.80  27
2.257  39.95  19
1.354  69.39  15


# SmBi3Au8
Theoretical powder diffractogram, Cu Kα, 1.54184 Å. Input: DFT lattice parameters and positions (GGA-PBE).
Intensities are scaled so that the largest is 100.

Cell and atoms:
a b c (Å): 9.978 9.978 9.978
angles (deg): 33.21 33.21 33.21
Fractional positions:
Sm1 0.000 0.000 0.000
Bi1 0.127 0.127 0.127
Bi2 0.500 0.500 0.500
Bi3 0.624 0.624 0.624
Au1 0.061 0.562 0.562
Au2 0.063 0.063 0.566
Au3 0.063 0.566 0.063
Au4 0.313 0.313 0.313
Au5 0.562 0.061 0.562
Au6 0.562 0.562 0.061
Au7 0.566 0.063 0.063
Au8 0.813 0.813 0.813

Top 8 peaks for 10 to 90 degrees two-theta, by intensity:
d (Å)  2theta  I/Imax
2.439  36.85  100
2.331  38.63  61
2.453  36.64  50
2.432  36.96  49
1.436  64.92  30
1.425  65.48  30
1.554  59.49  25
2.873  31.13  25


# SmBiAu4
Theoretical powder diffractogram, Cu Kα, 1.54184 Å. Input: DFT lattice parameters and positions (GGA-PBE).
Intensities are scaled so that the largest is 100.

Cell and atoms:
a b c (Å): 5.719 5.719 5.719
angles (deg): 60.00 60.00 60.00
Fractional positions:
Sm1 0.000 0.000 0.000
Bi1 0.750 0.750 0.750
Au1 0.375 0.375 0.375
Au2 0.375 0.375 0.876
Au3 0.375 0.876 0.375
Au4 0.876 0.375 0.375

Top 8 peaks for 10 to 90 degrees two-theta, by intensity:
d (Å)  2theta  I/Imax
2.439  36.86  100
2.335  38.56  44
1.556  59.38  34
1.430  65.26  30
2.859  31.28  23
1.219  78.44  18
1.233  77.37  12
1.651  55.68  9


# Sn3Bi3Au8
Theoretical powder diffractogram, Cu Kα, 1.54184 Å. Input: DFT lattice parameters and positions (GGA-PBE).
Intensities are scaled so that the largest is 100.

Cell and atoms:
a b c (Å): 8.617 8.617 9.629
angles (deg): 117.45 117.45 33.45
Fractional positions:
Sn1 0.000 0.000 0.000
Sn2 0.323 0.323 0.478
Sn3 0.677 0.677 0.522
Bi1 0.000 0.000 0.500
Bi2 0.318 0.318 0.945
Bi3 0.682 0.682 0.055
Au1 0.124 0.124 0.871
Au2 0.129 0.129 0.356
Au3 0.416 0.416 0.300
Au4 0.447 0.447 0.814
Au5 0.553 0.553 0.186
Au6 0.584 0.584 0.700
Au7 0.871 0.871 0.644
Au8 0.876 0.876 0.129

Top 8 peaks for 10 to 90 degrees two-theta, by intensity:
d (Å)  2theta  I/Imax
2.919  30.63  100
2.737  32.73  95
2.312  38.96  82
2.480  36.22  82
2.164  41.75  78
1.838  49.60  66
2.099  43.10  31
1.530  60.53  30